Record 1
PrPa3Se4: computed powder X-ray diffraction pattern (Cu Kα (λ = 1.5418 Å)), based on a cell relaxed with PBE.
No peak broadening, texture or thermal motion is included.

Largest 10 diffraction maxima, sorted by position, 2θ = 5–70°:
2θ/deg, d_spacing, intensity
25.89, 3.442, 20
27.25, 3.272, 17
30.78, 2.905, 100
42.35, 2.134, 14
44.07, 2.055, 50
45.87, 1.978, 11
51.09, 1.788, 7
53.22, 1.721, 14
56.22, 1.636, 12
64.19, 1.451, 8

abc: 7.218 7.218 3.956
angles: 90.00 90.00 107.50
Positions (direct):
Pr 0.000 0.000 0.000
Pa 0.000 0.500 0.500
Pa 0.500 0.000 0.500
Pa 0.500 0.500 0.000
Se 0.252 0.748 0.000
Se 0.255 0.255 0.500
Se 0.745 0.745 0.500
Se 0.748 0.252 0.000

***

Record 2
Na3MgTl2O6: computed powder X-ray diffraction pattern (Cu Kα (λ = 1.5418 Å)), based on a cell relaxed with PBE.
No peak broadening, texture or thermal motion is included.

Largest 10 diffraction maxima, sorted by position, 2θ = 5–70°:
2θ/deg, d_spacing, intensity
15.95, 5.557, 100
18.69, 4.749, 28
20.84, 4.263, 22
31.74, 2.819, 49
32.22, 2.779, 22
33.11, 2.706, 59
38.16, 2.359, 89
54.48, 1.684, 30
55.65, 1.652, 29
58.28, 1.583, 21

abc: 5.719 5.719 5.879
angles: 99.40 99.40 119.94
Positions (direct):
Na 0.000 0.000 0.000
Na 0.334 0.666 0.000
Na 0.666 0.334 0.000
Mg 0.500 0.500 0.500
Tl 0.167 0.833 0.500
Tl 0.833 0.167 0.500
O 0.110 0.428 0.281
O 0.255 0.255 0.716
O 0.428 0.110 0.281
O 0.572 0.890 0.719
O 0.745 0.745 0.284
O 0.890 0.572 0.719